# Na6B11C
Calculated XRD peak list, Cu Kα X-rays. Input: a PBE-relaxed structure.

The 10 most intense peaks (2θ = 10–80°), sorted by position:
two_theta, Rel. int., index
34.60, 20.1, 1 0 0
40.60, 100.0, 1 0 6
41.87, 23.0, 0 0 12
55.41, 10.6, 1 0 12
62.01, 18.1, 1 1 0
66.08, 2.0, 1 1 6
73.00, 2.0, 2 0 0
75.61, 12.1, 1 0 18
76.79, 11.7, 2 0 6
77.65, 17.2, 1 1 12

Atomic structure:
```
data_Na6B11C
_symmetry_space_group_name_H-M 'P -6 m 2'
_symmetry_Int_Tables_number 187
_symmetry_space_group_name_Hall 'P -6 2'
_cell_length_a 2.9932
_cell_length_b 2.9932
_cell_length_c 25.8907
_cell_angle_alpha 90.00
_cell_angle_beta 90.00
_cell_angle_gamma 120.00
loop_
_atom_site_label
_atom_site_type_symbol
_atom_site_fract_x
_atom_site_fract_y
_atom_site_fract_z
Na1 Na 0.0000 0.0000 0.0814
Na2 Na 0.0000 0.0000 0.2486
Na3 Na 0.0000 0.0000 0.4163
B1 B 0.3333 0.6667 0.0000
B2 B 0.3333 0.6667 0.1651
B3 B 0.3333 0.6667 0.3326
B4 B 0.3333 0.6667 0.5000
B5 B 0.6667 0.3333 0.1651
B6 B 0.6667 0.3333 0.3326
B7 B 0.6667 0.3333 0.5000
C1 C 0.6667 0.3333 0.0000
```